Structure and calculated X-ray diffraction stick pattern of NaPmPuBr6 (the PBE geometry in Alexandria; λ = 1.5418 Å (Cu Kα)).

Atomic structure:
abc: 7.011 7.011 13.234
angles: 90.00 90.00 90.00
Space group P4_2nm (No. 102)
One atom of each set of equivalent atoms:
Na 0.000 0.000 0.000 x2
Pm 0.000 0.000 0.335 x2
Pu 0.000 0.000 0.665 x2
Br 0.197 0.197 0.171 x4
Br 0.197 0.197 0.495 x4
Br 0.206 0.206 0.832 x4

Principal peaks in the range 2θ = 15–90°, sorted by position:
| hkl | 2theta | intensity |
| --- | --- | --- |
| 1 1 0 | 17.9 | 97 |
| 1 0 3 | 23.8 | 30 |
| 1 1 3 | 27.1 | 72 |
| 2 1 0 | 28.5 | 24 |
| 2 1 3 | 35.1 | 100 |
| 2 2 0 | 36.2 | 48 |
| 0 0 6 | 40.9 | 23 |
| 3 0 3 | 43.8 | 62 |
| 2 2 6 | 55.8 | 25 |
| 5 2 3 | 76.3 | 24 |